The following is a calculated X-ray powder pattern of Li2MnAs2O7. It was derived from a DFT-relaxed cell (PBE+U, Alexandria), using Cu Kα, 1.54184 Å.
No peak broadening, texture or thermal motion is included.

Cell and atoms:
```
data_Li2MnAs2O7
_space_group_name_H-M_alt 'R 3 2'
_space_group_IT_number 155
_space_group_name_Hall 'R 3 2"'
_cell_length_a 5.2598
_cell_length_b 5.2598
_cell_length_c 21.9306
_cell_angle_alpha 90.00
_cell_angle_beta 90.00
_cell_angle_gamma 120.00
loop_
_atom_site_label
_atom_site_type_symbol
_atom_site_fract_x
_atom_site_fract_y
_atom_site_fract_z
Li1 Li 0.0000 0.0000 0.2439
Mn1 Mn 0.0000 0.0000 0.5000
As1 As 0.0000 0.0000 0.0805
O1 O 0.0000 0.0000 0.0000
O2 O 0.0131 0.3646 0.7683
```

Most intense lines, 2θ = 5–70°, by angle:
12.1 deg, intensity 25, hkl 0 0 3; 19.9 deg, intensity 49, hkl 1 0 1; 21.1 deg, intensity 100, hkl 0 1 2; 24.4 deg, intensity 29, hkl 0 0 6; 28.2 deg, intensity 60, hkl 0 1 5; 34.1 deg, intensity 52, hkl 1 1 0; 34.8 deg, intensity 38, hkl 1 0 7; 49.5 deg, intensity 16, hkl 0 2 7; 61.0 deg, intensity 20, hkl 3 0 0; 61.8 deg, intensity 21, hkl 1 1 12